No. 1
Diffraction record for Nd8Si3RhBr4. The PXRD pattern is theoretical, not measured: it uses a structure optimized by DFT (PBE) and Cu Kα X-rays.
Intensities are scaled so that the largest is 100.

Top 8 peaks for 2θ from 10° to 90°, in order of rising 2θ:
Position (°2θ)  intensity
25.43  20
29.10  100
31.60  12
40.86  30
42.38  39
52.24  19
57.28  10
69.45  16

Structure:
```
16
Lattice="7.389 -4.265 0.000 7.389 4.265 0.000 -4.928 0.000 7.349" Properties=species:S:1:pos:R:3 pbc="T T T"
Nd 3.718 2.176 5.189
Nd -0.043 0.000 5.195
Nd 6.132 2.176 2.160
Nd 2.462 0.000 2.107
Nd 7.388 0.000 5.242
Nd 3.718 -2.176 5.189
Nd 9.893 0.000 2.154
Nd 6.132 -2.176 2.160
Si 1.231 2.132 3.674
Si 1.231 -2.132 3.674
Si 4.925 0.000 3.674
Rh -2.464 0.000 3.674
Br 0.000 0.000 0.000
Br 3.695 2.132 0.000
Br 3.695 -2.132 0.000
Br 7.389 0.000 0.000
```



No. 2
Diffraction record for K5Np2F12. The PXRD pattern is theoretical, not measured: it uses a structure optimized by DFT (PBE) and Cu Kα X-rays.
Intensities are scaled so that the largest is 100.

Top 8 peaks for 2θ from 10° to 90°, in order of rising 2θ:
Position (°2θ)  intensity
13.67  100
14.08  82
15.03  50
25.92  59
26.16  40
26.69  42
32.32  33
33.63  27

Structure:
```
19
Lattice="6.912 -4.053 0.000 6.912 4.053 0.000 -3.962 0.000 6.478" Properties=species:S:1:pos:R:3 pbc="T T T"
K 0.000 0.000 0.000
K 1.749 0.000 3.196
K 0.231 0.000 6.339
K 9.631 0.000 0.139
K 8.113 0.000 3.281
Np 4.931 2.048 3.239
Np 4.931 -2.048 3.239
F -1.617 0.000 4.495
F 3.290 1.665 1.664
F 2.986 2.400 4.401
F 6.876 2.400 2.077
F 6.572 1.665 4.814
F 4.242 0.000 4.318
F 5.619 0.000 2.160
F 3.290 -1.665 1.664
F 2.986 -2.400 4.401
F 6.876 -2.400 2.077
F 6.572 -1.665 4.814
F 11.479 0.000 1.982
```



No. 3
Diffraction record for KLiNpI6. The PXRD pattern is theoretical, not measured: it uses a structure optimized by DFT (PBE) and Cu Kα X-rays.
Intensities are scaled so that the largest is 100.

Top 8 peaks for 2θ from 10° to 90°, in order of rising 2θ:
Position (°2θ)  intensity
11.27  29
14.32  37
17.35  19
25.58  100
32.42  59
40.20  34
41.60  30
48.25  15

Structure:
```
18
Lattice="7.772 0.000 0.000 -3.886 6.731 0.000 0.000 0.000 15.705" Properties=species:S:1:pos:R:3 pbc="T T T"
K 0.000 0.000 0.000
K 0.000 0.000 7.852
Li 0.000 4.487 3.926
Li 3.886 2.244 11.778
Np 0.000 4.487 11.778
Np 3.886 2.244 3.926
I -1.407 2.461 10.046
I -2.457 4.282 13.511
I 1.407 2.461 13.511
I -1.051 6.718 10.046
I 2.835 0.013 2.194
I 1.428 2.449 5.658
I 2.457 4.282 10.046
I 1.051 6.718 13.511
I 4.937 0.013 5.658
I 2.479 4.269 2.194
I 6.343 2.449 2.194
I 5.292 4.269 5.658
```



No. 4
Diffraction record for Mg2PaF8. The PXRD pattern is theoretical, not measured: it uses a structure optimized by DFT (PBE) and Cu Kα X-rays.
Intensities are scaled so that the largest is 100.

Top 8 peaks for 2θ from 10° to 90°, in order of rising 2θ:
Position (°2θ)  intensity
15.81  100
18.27  15
25.95  51
30.53  24
40.49  36
41.59  15
45.78  21
56.03  20

Structure:
```
11
Lattice="-3.433 3.433 4.856 3.433 -3.433 4.856 3.433 3.433 -4.856" Properties=species:S:1:pos:R:3 pbc="T T T"
Mg 3.433 0.000 2.428
Mg 0.000 3.433 2.428
Pa 0.000 0.000 0.000
F 4.972 -0.006 1.337
F 3.439 -1.539 3.519
F 1.894 0.006 1.337
F -0.006 1.894 1.337
F 3.427 1.539 3.519
F -1.539 3.427 3.519
F 0.006 4.972 1.337
F 1.539 3.439 3.519
```



Question: Number 2 is which compound?
Answer: K5Np2F12